Theoretical powder diffraction line list
Compound: Dy2HoCo2B2O3
Radiation: copper Kα
Structure: the PBE+U geometry in OQMD

Crystal structure
Cell lengths 10.941, 10.941, 10.941 Å; angles 162.12, 162.12, 25.39 degrees
Sites, in units of the cell vectors:
Dy 0.137 0.137 0.000
Dy 0.863 0.863 0.000
Ho 0.500 0.500 0.000
Co 0.250 0.750 0.500
Co 0.750 0.250 0.500
B 0.290 0.290 0.000
B 0.710 0.710 0.000
O 0.000 0.000 0.000
O 0.397 0.397 0.000
O 0.603 0.603 0.000

Peak list (10 most intense, 2θ = 10–90°, by angle)
3.068 Å, 29.10 deg, I = 100.0; 2.668 Å, 33.58 deg, I = 37.2; 2.660 Å, 33.69 deg, I = 28.9; 2.405 Å, 37.39 deg, I = 30.0; 2.346 Å, 38.37 deg, I = 19.6; 1.992 Å, 45.53 deg, I = 33.4; 1.700 Å, 53.92 deg, I = 25.4; 1.686 Å, 54.43 deg, I = 26.7; 1.487 Å, 62.44 deg, I = 24.5; 1.434 Å, 65.06 deg, I = 30.3